Starting from a structure optimized by DFT (GGA-PBE), the powder diffractogram of Cs2Tl6InSn was calculated for Cu Kα (λ = 1.5418 Å).
Lines closer than 0.1° are merged.

Crystal structure
```
data_Cs2Tl6InSn
_chemical_formula_sum 'Cs12 Tl36 In6 Sn6'
_symmetry_space_group_name_H-M 'R -3 m'
_symmetry_Int_Tables_number 166
_symmetry_space_group_name_Hall '-R 3 2"'
_cell_length_a 8.3515
_cell_length_b 8.3515
_cell_length_c 41.8349
_cell_angle_alpha 90.00
_cell_angle_beta 90.00
_cell_angle_gamma 120.00
loop_
_atom_site_label
_atom_site_type_symbol
_atom_site_fract_x
_atom_site_fract_y
_atom_site_fract_z
Cs1 Cs 0.0000 0.0000 0.1510
Cs2 Cs 0.0000 0.0000 0.2935
Tl1 Tl 0.0425 0.5212 0.1112
Tl2 Tl 0.0759 0.5380 0.7298
In1 In 0.0000 0.0000 0.0000
In2 In 0.0000 0.0000 0.5000
Sn1 Sn 0.0000 0.0000 0.3837
```

Top 10 peaks for 2θ from 5° to 70°, in order of rising 2θ:
Position (°2θ)  I_rel
12.70  74
12.95  66
24.85  43
26.86  99
28.86  50
30.04  75
30.40  44
34.52  46
37.87  55
43.38  100